Calculated X-ray powder pattern of Pr2CoCuN2 for Cu Kα (weighted mean of Kα1 and Kα2), from a DFT-relaxed cell (GGA-PBE, OQMD).
Neutral-atom scattering factors, no anomalous dispersion.

Most intense lines, 2θ from 10° to 90°, in order of rising 2θ:
two_theta	d [Å]	Rel. int.	hkl
23.34	3.811	18	0 1 0
34.35	2.611	88	1 1 0
34.49	2.601	100	0 1 2
35.56	2.524	92	1 0 2
42.97	2.105	20	1 1 2
47.72	1.906	22	0 2 0
50.98	1.791	18	2 0 0
60.91	1.521	37	1 2 2
63.01	1.475	33	2 1 2
63.26	1.470	30	1 1 4

Structure:
```
data_Pr2CoCuN2
_chemical_formula_sum 'Pr2 Co1 Cu1 N2'
_cell_length_a 3.5829
_cell_length_b 3.8114
_cell_length_c 7.1150
_cell_angle_alpha 90.00
_cell_angle_beta 90.00
_cell_angle_gamma 90.00
_symmetry_space_group_name_H-M 'P 1'
_symmetry_Int_Tables_number 1
loop_
_symmetry_equiv_pos_as_xyz
'x,y,z'
loop_
_atom_site_label
_atom_site_fract_x
_atom_site_fract_y
_atom_site_fract_z
_atom_site_occupancy
Pr1 0.0000 0.0000 0.2484 1
Pr2 0.0000 0.0000 0.7516 1
Co1 0.5000 0.5000 0.0000 1
Cu1 0.5000 0.5000 0.5000 1
N1 0.0000 0.5000 0.0000 1
N2 0.5000 0.0000 0.5000 1
```